1.
This entry pairs a crystal structure of ErMg with its theoretical powder diffractogram. Radiation: a wavelength of 1.5418 Å. Structure: a DFT-relaxed cell (PBE, Alexandria).
Neutral-atom scattering factors, no anomalous dispersion.

Structure:
Lattice parameters (Å, degrees): 3.7652 3.7652 3.7652 90.00 90.00 90.00
Space group Pm-3m (No. 221)
Unique sites:
Er  0.0000  0.0000  0.0000
Mg  0.5000  0.5000  0.5000

Peak list (10 most intense, 10° ≤ 2θ ≤ 90°, by intensity)
| h k l | 2θ/deg | I/Imax |
| --- | --- | --- |
| 1 1 0 | 33.66 | 100 |
| 1 0 0 | 23.63 | 65 |
| 2 1 1 | 60.20 | 38 |
| 2 1 0 | 54.50 | 28 |
| 1 1 1 | 41.54 | 20 |
| 2 0 0 | 48.35 | 18 |
| 3 1 0 | 80.70 | 16 |
| 3 0 0 | 75.80 | 13 |
| 2 2 0 | 70.78 | 12 |
| 3 1 1 | 85.54 | 8 |

---

2.
This entry pairs a crystal structure of Er2Mg5 with its theoretical powder diffractogram. Radiation: a wavelength of 1.5418 Å. Structure: a DFT-relaxed cell (PBE, Alexandria).
Neutral-atom scattering factors, no anomalous dispersion.

Structure:
Lattice parameters (Å, degrees): 8.3937 13.7439 6.2645 90.00 90.00 90.00
Space group Ibam (No. 72)
Unique sites:
Er  0.1548  0.0853  0.0000
Mg  0.0000  0.2788  0.2500
Mg  0.0000  0.5000  0.2500
Mg  0.2280  0.1454  0.5000

Peak list (10 most intense, 10° ≤ 2θ ≤ 90°, by intensity)
| h k l | 2θ/deg | I/Imax |
| --- | --- | --- |
| 1 2 1 | 21.93 | 100 |
| 2 3 1 | 32.26 | 97 |
| 1 1 0 | 12.36 | 82 |
| 1 4 1 | 31.55 | 73 |
| 3 1 0 | 32.66 | 55 |
| 1 1 2 | 31.16 | 47 |
| 2 1 1 | 26.37 | 38 |
| 0 0 2 | 28.50 | 34 |
| 0 2 0 | 12.88 | 34 |
| 3 1 2 | 43.89 | 30 |

---

3.
This entry pairs a crystal structure of ErMg6 with its theoretical powder diffractogram. Radiation: a wavelength of 1.5418 Å. Structure: a DFT-relaxed cell (PBE, Alexandria).
Neutral-atom scattering factors, no anomalous dispersion.

Structure:
Lattice parameters (Å, degrees): 6.0657 6.0657 9.5572 90.00 90.00 90.00
Space group P4/nbm (No. 125, origin choice 2)
Unique sites:
Er  0.2500  0.7500  0.0000
Mg  0.0773  0.5773  0.3597
Mg  0.2500  0.2500  0.1483

Peak list (10 most intense, 10° ≤ 2θ ≤ 90°, by intensity)
| h k l | 2θ/deg | I/Imax |
| --- | --- | --- |
| 1 1 3 | 35.07 | 100 |
| 2 0 1 | 30.93 | 94 |
| 0 0 3 | 27.97 | 94 |
| 1 1 1 | 22.72 | 53 |
| 1 1 0 | 20.71 | 43 |
| 3 1 4 | 62.02 | 41 |
| 3 1 2 | 51.33 | 39 |
| 3 1 1 | 48.40 | 27 |
| 0 0 2 | 18.57 | 25 |
| 2 0 0 | 29.45 | 25 |